Structure and simulated X-ray powder pattern of La3Nd4Co2 (a DFT-relaxed cell (PBE, Alexandria); Cu Kα, 1.54184 Å).
Intensities are scaled so that the largest is 100.

Largest 10 diffraction maxima, sorted by position, 10° ≤ 2θ ≤ 90°:
2θ/deg  I (rel.)
28.5  85
28.7  75
29.1  88
29.2  38
30.6  48
32.1  90
33.8  100
48.1  36
49.0  35
55.0  33

Structural model:
Cell: 8.7624 8.7624 9.3576 Å, 114.27 114.27 24.93°
Element x y z (fractional)
La 0.0000 0.0000 0.0000
La 0.0706 0.0706 0.6946
La 0.9294 0.9294 0.3054
Nd 0.2264 0.2264 0.1425
Nd 0.3581 0.3581 0.6078
Nd 0.6419 0.6419 0.3922
Nd 0.7736 0.7736 0.8575
Co 0.3841 0.3841 0.0724
Co 0.6159 0.6159 0.9276


Structure and simulated X-ray powder pattern of Re3S4Br (a DFT-relaxed cell (PBE, Alexandria); Cu Kα, 1.54184 Å).
Intensities are scaled so that the largest is 100.

Largest 10 diffraction maxima, sorted by position, 10° ≤ 2θ ≤ 90°:
2θ/deg  I (rel.)
11.3  100
14.9  23
15.2  10
16.0  15
16.8  6
30.7  5
41.6  6
42.9  9
43.8  5
45.8  7

Structural model:
Cell: 6.4382 11.6339 11.3949 Å, 90.00 112.34 90.00°
Element x y z (fractional)
Re 0.0291 0.0650 0.1545
Re 0.0291 0.4350 0.6545
Re 0.0348 0.1453 0.9418
Re 0.0348 0.3547 0.4418
Re 0.3072 0.5222 0.5598
Re 0.3072 0.9778 0.0598
Re 0.6928 0.0222 0.9402
Re 0.6928 0.4778 0.4402
Re 0.9652 0.6453 0.5582
Re 0.9652 0.8547 0.0582
Re 0.9709 0.5650 0.3455
Re 0.9709 0.9350 0.8455
S 0.2246 0.7120 0.4680
S 0.2246 0.7880 0.9680
S 0.2771 0.0579 0.8480
S 0.2771 0.4421 0.3480
S 0.2777 0.5940 0.7503
S 0.2777 0.9060 0.2503
S 0.3410 0.1706 0.1440
S 0.3410 0.3294 0.6440
S 0.6590 0.6706 0.3560
S 0.6590 0.8294 0.8560
S 0.7223 0.0940 0.7497
S 0.7223 0.4060 0.2497
S 0.7229 0.5579 0.6520
S 0.7229 0.9421 0.1520
S 0.7754 0.2120 0.0320
S 0.7754 0.2880 0.5320
Br 0.0939 0.1410 0.3834
Br 0.0939 0.3590 0.8834
Br 0.9061 0.6410 0.1166
Br 0.9061 0.8590 0.6166


Structure and simulated X-ray powder pattern of Na2LiI3 (a DFT-relaxed cell (PBE, Alexandria); Cu Kα, 1.54184 Å).
Intensities are scaled so that the largest is 100.

Largest 10 diffraction maxima, sorted by position, 10° ≤ 2θ ≤ 90°:
2θ/deg  I (rel.)
24.2  100
27.9  63
28.2  30
39.9  24
40.1  46
47.2  33
47.6  15
49.6  24
63.8  12
72.5  15

Structural model:
Cell: 4.5236 4.5236 18.9594 Å, 90.00 90.00 90.00°
Element x y z (fractional)
Na 0.0000 0.0000 0.1669
Na 0.0000 0.0000 0.8331
Na 0.5000 0.5000 0.3331
Na 0.5000 0.5000 0.6669
Li 0.0000 0.0000 0.5000
Li 0.5000 0.5000 0.0000
I 0.0000 0.0000 0.0000
I 0.0000 0.0000 0.3393
I 0.0000 0.0000 0.6607
I 0.5000 0.5000 0.1607
I 0.5000 0.5000 0.5000
I 0.5000 0.5000 0.8393